1.
For Cs4CaCl6, a structure optimized by DFT (PBE) gives the theoretical X-ray powder pattern in this record (CuKα).
No peak broadening, texture or thermal motion is included.

Lattice parameters (Å, degrees): 13.2912 13.2912 16.7853 90.00 90.00 120.00
Space group R-3c (No. 167, hexagonal axes)
Inequivalent atoms, fractional coordinates:
Cs 0.0000 0.0000 0.2500 [6 per cell]
Cs 0.0000 0.3683 0.2500 [18 per cell]
Ca 0.0000 0.0000 0.0000 [6 per cell]
Cl 0.0233 0.1809 0.4039 [36 per cell]

Largest 8 diffraction maxima, most intense first, 2θ from 15° to 90°:
Position (°2θ), intensity, (hkl)
31.31, 100, 2 2 3
23.18, 97, 3 0 0
20.75, 90, 1 1 3
29.58, 37, 2 1 4
28.46, 36, 1 3 1
40.36, 35, 3 2 4
31.99, 34, 0 0 6
39.88, 32, 3 0 6

2.
For PmMgSnH, a structure optimized by DFT (PBE) gives the theoretical X-ray powder pattern in this record (CuKα).
No peak broadening, texture or thermal motion is included.

Lattice parameters (Å, degrees): 4.392 4.392 8.343 90.00 90.00 90.00
Space group P4/nmm (No. 129, origin choice 2)
Inequivalent atoms, fractional coordinates:
Pm 0.250 0.250 0.126 [2 per cell]
Mg 0.250 0.750 0.500 [2 per cell]
Sn 0.250 0.250 0.728 [2 per cell]
H 0.250 0.750 0.000 [2 per cell]

Largest 8 diffraction maxima, most intense first, 2θ from 15° to 90°:
Position (°2θ), intensity, (hkl)
29.53, 100, 1 0 2
28.74, 96, 1 1 0
38.31, 70, 1 0 3
41.10, 55, 2 0 0
57.44, 44, 2 1 3
51.42, 43, 2 1 2
36.05, 39, 1 1 2
30.72, 34, 1 1 1

3.
For Cs2CdHg7, a structure optimized by DFT (PBE) gives the theoretical X-ray powder pattern in this record (CuKα).
No peak broadening, texture or thermal motion is included.

Lattice parameters (Å, degrees): 5.210 5.210 12.915 90.00 90.00 90.00
Space group P-4m2 (No. 115)
Inequivalent atoms, fractional coordinates:
Cs 0.000 0.500 0.249 [2 per cell]
Cd 0.000 0.000 0.500 [1 per cell]
Hg 0.000 0.000 0.000 [1 per cell]
Hg 0.000 0.500 0.626 [2 per cell]
Hg 0.000 0.500 0.865 [2 per cell]
Hg 0.500 0.500 0.000 [1 per cell]
Hg 0.500 0.500 0.500 [1 per cell]

Largest 8 diffraction maxima, most intense first, 2θ from 15° to 90°:
Position (°2θ), intensity, (hkl)
27.88, 100, 1 1 2
34.43, 86, 2 0 0
37.02, 70, 1 1 4
26.87, 61, 1 0 3
38.92, 33, 1 0 5
44.20, 32, 2 1 3
49.48, 31, 2 2 0
63.38, 30, 3 1 4

4.
For SrBr2O6, a structure optimized by DFT (PBE) gives the theoretical X-ray powder pattern in this record (CuKα).
No peak broadening, texture or thermal motion is included.

Lattice parameters (Å, degrees): 7.729 12.155 7.535 90.00 120.28 90.00
Space group Cc (No. 9)
Inequivalent atoms, fractional coordinates:
Sr 0.000 0.124 0.000 [4 per cell]
Br 0.037 0.434 0.968 [4 per cell]
Br 0.091 0.183 0.543 [4 per cell]
O 0.045 0.079 0.376 [4 per cell]
O 0.148 0.116 0.760 [4 per cell]
O 0.174 0.477 0.420 [4 per cell]
O 0.198 0.330 0.105 [4 per cell]
O 0.313 0.232 0.589 [4 per cell]
O 0.388 0.127 0.239 [4 per cell]

Largest 8 diffraction maxima, most intense first, 2θ from 15° to 90°:
Position (°2θ), intensity, (hkl)
25.75, 100, 1 3 0
27.39, 67, 0 0 2
26.95, 44, 2 0 -2
26.71, 42, 2 0 0
32.46, 26, 1 3 -2
46.95, 21, 0 6 1
32.30, 18, 1 3 1
43.03, 15, 1 3 -3

5.
For TbSmCo, a structure optimized by DFT (PBE) gives the theoretical X-ray powder pattern in this record (CuKα).
No peak broadening, texture or thermal motion is included.

Lattice parameters (Å, degrees): 3.696 6.437 6.947 74.86 74.65 73.32
Space group P-1 (No. 2)
Inequivalent atoms, fractional coordinates:
Tb 0.078 0.232 0.112 [2 per cell]
Sm 0.326 0.262 0.587 [2 per cell]
Co 0.384 0.540 0.191 [2 per cell]

Largest 8 diffraction maxima, most intense first, 2θ from 15° to 90°:
Position (°2θ), intensity, (hkl)
33.56, 100, 0 1 -2
32.67, 84, 1 2 1
28.22, 49, 0 1 2
29.58, 48, 0 2 0
41.63, 37, 1 1 3
31.60, 36, 1 0 -1
36.42, 36, 1 2 2
26.50, 35, 1 0 1

6.
For La4Dy3Er, a structure optimized by DFT (PBE) gives the theoretical X-ray powder pattern in this record (CuKα).
No peak broadening, texture or thermal motion is included.

Lattice parameters (Å, degrees): 25.049 3.457 6.326 90.00 92.17 90.00
Space group C2/m (No. 12)
Inequivalent atoms, fractional coordinates:
La 0.106 0.000 0.242 [4 per cell]
La 0.221 0.500 0.249 [4 per cell]
Dy 0.000 0.000 0.500 [2 per cell]
Dy 0.139 0.000 0.748 [4 per cell]
Er 0.000 0.500 0.000 [2 per cell]

Largest 8 diffraction maxima, most intense first, 2θ from 15° to 90°:
Position (°2θ), intensity, (hkl)
31.44, 100, 8 0 -1
29.60, 86, 1 1 -1
31.57, 70, 3 1 1
28.53, 62, 8 0 0
26.02, 50, 1 1 0
32.41, 39, 8 0 1
28.87, 39, 2 0 -2
31.22, 38, 4 0 -2

7.
For NaUF5, a structure optimized by DFT (PBE) gives the theoretical X-ray powder pattern in this record (CuKα).
No peak broadening, texture or thermal motion is included.

Lattice parameters (Å, degrees): 5.857 11.245 8.943 90.00 108.28 90.00
Space group P2_1/c (No. 14)
Inequivalent atoms, fractional coordinates:
Na 0.016 0.008 0.309 [4 per cell]
U 0.418 0.243 0.140 [4 per cell]
F 0.134 0.123 0.133 [4 per cell]
F 0.167 0.112 0.542 [4 per cell]
F 0.289 0.637 0.834 [4 per cell]
F 0.341 0.600 0.269 [4 per cell]
F 0.399 0.204 0.884 [4 per cell]

Largest 8 diffraction maxima, most intense first, 2θ from 15° to 90°:
Position (°2θ), intensity, (hkl)
22.38, 100, 0 1 2
22.49, 95, 1 2 0
15.76, 86, 0 2 0
15.94, 61, 1 0 0
23.39, 49, 1 1 -2
17.79, 43, 1 1 0
45.65, 39, 0 2 4
31.84, 34, 0 4 0

8.
For Na2NbO4F5, a structure optimized by DFT (PBE) gives the theoretical X-ray powder pattern in this record (CuKα).
No peak broadening, texture or thermal motion is included.

Lattice parameters (Å, degrees): 10.720 9.392 7.584 90.00 90.00 90.00
Space group Aea2 (No. 41)
Inequivalent atoms, fractional coordinates:
Na 0.141 0.112 0.000 [8 per cell]
Nb 0.000 0.000 0.546 [4 per cell]
O 0.065 0.490 0.790 [8 per cell]
O 0.217 0.191 0.277 [8 per cell]
F 0.000 0.000 0.813 [4 per cell]
F 0.008 0.207 0.545 [8 per cell]
F 0.182 0.491 0.094 [8 per cell]

Largest 8 diffraction maxima, most intense first, 2θ from 15° to 90°:
Position (°2θ), intensity, (hkl)
17.15, 100, 1 1 1
18.90, 41, 0 2 0
16.54, 37, 2 0 0
44.98, 32, 5 1 1
29.22, 28, 3 1 1
25.21, 21, 2 2 0
32.04, 20, 1 3 1
37.80, 20, 1 1 3